Diffraction record for MgCr4FeO8. The X-ray powder pattern is calculated, not measured: it uses a structure optimized by DFT (PBE+U) and Cu Kα (weighted mean of Kα1 and Kα2).

Structural model:
a = 6.022 Å, b = 6.022 Å, c = 6.022 Å
α = 60.00°, β = 60.00°, γ = 60.00°
Fractional coordinates of all 14 atoms:
Mg1 0.000 0.000 0.000
Cr1 0.124 0.625 0.625
Cr2 0.625 0.124 0.625
Cr3 0.625 0.625 0.124
Cr4 0.625 0.625 0.625
Fe1 0.250 0.250 0.250
O1 0.387 0.387 0.387
O2 0.387 0.387 0.838
O3 0.387 0.838 0.387
O4 0.408 0.864 0.864
O5 0.838 0.387 0.387
O6 0.864 0.408 0.864
O7 0.864 0.864 0.408
O8 0.864 0.864 0.864

Largest 6 diffraction maxima, most intense first, 5° ≤ 2θ ≤ 70°:
| 2θ (°) | I/Imax |
| --- | --- |
| 34.94 | 100 |
| 61.60 | 49 |
| 56.11 | 38 |
| 42.45 | 33 |
| 18.04 | 32 |
| 29.67 | 22 |